Starting from the GGA-PBE geometry in Alexandria, the PXRD pattern of PmNd3Ho4 was computed for Cu Kα (weighted mean of Kα1 and Kα2).
Neutral-atom scattering factors, no anomalous dispersion.

Top 8 peaks for 15° ≤ 2θ ≤ 90°, most intense first:
30.41 deg, intensity 100
35.26 deg, intensity 51
60.30 deg, intensity 43
50.73 deg, intensity 36
82.62 deg, intensity 18
85.26 deg, intensity 17
63.29 deg, intensity 12
74.57 deg, intensity 6

Atomic structure:
```
16
Lattice="10.1835 0.0000 0.0000 0.0000 7.1980 0.0000 0.0000 0.0000 7.1977" Properties=species:S:1:pos:R:3 pbc="T T T"
Pm 0.0000 0.0000 0.0000
Pm 5.0918 0.0000 3.5989
Nd 0.0000 3.5990 3.5989
Nd 2.5459 1.7953 1.7994
Nd 2.5459 5.4027 5.3983
Nd 5.0918 3.5990 0.0000
Nd 7.6376 1.7953 1.7994
Nd 7.6376 5.4027 5.3983
Ho 0.0000 0.0000 3.5989
Ho 0.0000 3.5990 0.0000
Ho 2.5459 1.7980 5.3983
Ho 2.5459 5.4000 1.7994
Ho 5.0918 0.0000 0.0000
Ho 5.0918 3.5990 3.5989
Ho 7.6376 1.7980 5.3983
Ho 7.6376 5.4000 1.7994
```